# 1
Structure and simulated X-ray diffraction stick pattern of La2Tb2PmNd2 (a GGA-PBE-relaxed structure; a wavelength of 1.5418 Å).
Lines closer than 0.1° are merged.

Structural model:
a = 6.341 Å, b = 6.341 Å, c = 8.211 Å
α = 97.33°, β = 97.33°, γ = 48.19°
Sites, in units of the cell vectors:
La 0.142 0.142 0.427
La 0.858 0.858 0.573
Tb 0.429 0.429 0.285
Tb 0.571 0.571 0.715
Pm 0.000 0.000 0.000
Nd 0.285 0.285 0.859
Nd 0.715 0.715 0.141

The 10 most intense peaks (2θ from 10° to 80°), low angle first:
- 29.86 deg, I = 1000
- 34.59 deg, I = 339
- 34.65 deg, I = 169
- 49.64 deg, I = 61
- 49.78 deg, I = 302
- 59.03 deg, I = 145
- 59.16 deg, I = 288
- 61.95 deg, I = 63
- 62.10 deg, I = 62
- 73.01 deg, I = 19

=====

# 2
Structure and simulated X-ray diffraction stick pattern of Na4Sr (a GGA-PBE-relaxed structure; a wavelength of 1.5418 Å).
Lines closer than 0.1° are merged.

Structural model:
a = 6.876 Å, b = 6.876 Å, c = 6.876 Å
α = 90.00°, β = 90.00°, γ = 90.00°
Sites, in units of the cell vectors:
Na 0.000 0.000 0.000
Na 0.000 0.500 0.500
Na 0.500 0.000 0.500
Na 0.500 0.500 0.000
Sr 0.500 0.500 0.500

The 10 most intense peaks (2θ from 10° to 80°), low angle first:
- 12.87 deg, I = 1000
- 18.25 deg, I = 904
- 25.92 deg, I = 875
- 29.04 deg, I = 582
- 31.88 deg, I = 455
- 36.98 deg, I = 675
- 39.31 deg, I = 319
- 45.71 deg, I = 240
- 49.61 deg, I = 258
- 60.19 deg, I = 302

=====

# 3
Structure and simulated X-ray diffraction stick pattern of NdH8Rh2 (a GGA-PBE-relaxed structure; a wavelength of 1.5418 Å).
Lines closer than 0.1° are merged.

Structural model:
a = 5.912 Å, b = 5.912 Å, c = 5.912 Å
α = 136.16°, β = 136.16°, γ = 63.73°
Sites, in units of the cell vectors:
Nd 0.000 0.000 0.000
H 0.118 0.118 0.556
H 0.118 0.562 0.000
H 0.438 0.438 0.556
H 0.438 0.882 0.000
H 0.562 0.118 0.000
H 0.562 0.562 0.444
H 0.882 0.438 0.000
H 0.882 0.882 0.444
Rh 0.250 0.750 0.500
Rh 0.750 0.250 0.500

The 10 most intense peaks (2θ from 10° to 80°), low angle first:
- 22.00 deg, I = 481
- 33.60 deg, I = 172
- 33.82 deg, I = 1000
- 35.77 deg, I = 206
- 40.89 deg, I = 279
- 46.91 deg, I = 133
- 55.44 deg, I = 245
- 63.02 deg, I = 162
- 69.96 deg, I = 236
- 71.14 deg, I = 111

=====

# 4
Structure and simulated X-ray diffraction stick pattern of Zn2GePd6 (a GGA-PBE-relaxed structure; a wavelength of 1.5418 Å).
Lines closer than 0.1° are merged.

Structural model:
a = 7.194 Å, b = 7.194 Å, c = 4.134 Å
α = 106.55°, β = 106.55°, γ = 48.04°
Sites, in units of the cell vectors:
Zn 0.168 0.168 0.168
Zn 0.832 0.832 0.832
Ge 0.500 0.500 0.500
Pd 0.089 0.583 0.336
Pd 0.254 0.746 0.000
Pd 0.417 0.911 0.664
Pd 0.583 0.089 0.336
Pd 0.746 0.254 0.000
Pd 0.911 0.417 0.664

The 10 most intense peaks (2θ from 10° to 80°), low angle first:
- 26.27 deg, I = 123
- 26.39 deg, I = 130
- 30.49 deg, I = 504
- 43.48 deg, I = 253
- 43.68 deg, I = 1000
- 43.79 deg, I = 249
- 63.32 deg, I = 80
- 63.53 deg, I = 159
- 72.10 deg, I = 95
- 79.88 deg, I = 80

=====

# 5
Structure and simulated X-ray diffraction stick pattern of InPS4 (a GGA-PBE-relaxed structure; a wavelength of 1.5418 Å).
Lines closer than 0.1° are merged.

Structural model:
a = 6.041 Å, b = 6.041 Å, c = 8.463 Å
α = 90.00°, β = 90.00°, γ = 90.27°
Sites, in units of the cell vectors:
In 0.193 0.807 0.750
In 0.807 0.193 0.250
P 0.328 0.328 0.000
P 0.672 0.672 0.500
S 0.181 0.231 0.793
S 0.231 0.181 0.207
S 0.265 0.664 0.021
S 0.336 0.735 0.479
S 0.664 0.265 0.979
S 0.735 0.336 0.521
S 0.769 0.819 0.707
S 0.819 0.769 0.293

The 10 most intense peaks (2θ from 10° to 80°), low angle first:
- 18.04 deg, I = 1000
- 20.83 deg, I = 179
- 25.71 deg, I = 294
- 29.58 deg, I = 533
- 31.45 deg, I = 197
- 34.92 deg, I = 189
- 35.11 deg, I = 265
- 39.53 deg, I = 172
- 46.57 deg, I = 171
- 50.18 deg, I = 228

=====

# 6
Structure and simulated X-ray diffraction stick pattern of PrZn5CuPd2 (a GGA-PBE-relaxed structure; a wavelength of 1.5418 Å).
Lines closer than 0.1° are merged.

Structural model:
a = 4.829 Å, b = 4.829 Å, c = 7.404 Å
α = 90.00°, β = 90.00°, γ = 90.00°
Sites, in units of the cell vectors:
Pr 0.000 0.000 0.000
Zn 0.000 0.500 0.314
Zn 0.000 0.500 0.686
Zn 0.500 0.000 0.314
Zn 0.500 0.000 0.686
Zn 0.500 0.500 0.000
Cu 0.000 0.000 0.500
Pd 0.500 0.500 0.320
Pd 0.500 0.500 0.680

The 10 most intense peaks (2θ from 10° to 80°), low angle first:
- 26.10 deg, I = 189
- 28.79 deg, I = 173
- 30.43 deg, I = 434
- 35.78 deg, I = 426
- 36.40 deg, I = 332
- 37.24 deg, I = 1000
- 48.82 deg, I = 230
- 53.06 deg, I = 477
- 53.69 deg, I = 338
- 66.60 deg, I = 253

=====

# 7
Structure and simulated X-ray diffraction stick pattern of KFeCl (a GGA-PBE-relaxed structure; a wavelength of 1.5418 Å).
Lines closer than 0.1° are merged.

Structural model:
a = 7.102 Å, b = 6.901 Å, c = 3.360 Å
α = 79.47°, β = 72.81°, γ = 27.72°
Sites, in units of the cell vectors:
K 0.000 0.000 0.000
Fe 0.713 0.713 0.287
Cl 0.329 0.329 0.671

The 10 most intense peaks (2θ from 10° to 80°), low angle first:
- 13.44 deg, I = 178
- 27.07 deg, I = 127
- 28.25 deg, I = 85
- 33.75 deg, I = 323
- 34.30 deg, I = 1000
- 43.98 deg, I = 143
- 44.23 deg, I = 121
- 56.52 deg, I = 246
- 60.72 deg, I = 160
- 74.62 deg, I = 83

=====

# 8
Structure and simulated X-ray diffraction stick pattern of In3SnPt12 (a GGA-PBE-relaxed structure; a wavelength of 1.5418 Å).
Lines closer than 0.1° are merged.

Structural model:
a = 4.052 Å, b = 4.052 Å, c = 16.192 Å
α = 90.00°, β = 90.00°, γ = 90.00°
Sites, in units of the cell vectors:
In 0.000 0.000 0.000
In 0.000 0.000 0.249
In 0.000 0.000 0.751
Sn 0.000 0.000 0.500
Pt 0.000 0.500 0.125
Pt 0.000 0.500 0.375
Pt 0.000 0.500 0.625
Pt 0.000 0.500 0.875
Pt 0.500 0.000 0.125
Pt 0.500 0.000 0.375
Pt 0.500 0.000 0.625
Pt 0.500 0.000 0.875
Pt 0.500 0.500 0.000
Pt 0.500 0.500 0.250
Pt 0.500 0.500 0.500
Pt 0.500 0.500 0.750

The 10 most intense peaks (2θ from 10° to 80°), low angle first:
- 21.94 deg, I = 34
- 31.23 deg, I = 29
- 38.49 deg, I = 1000
- 44.74 deg, I = 492
- 50.37 deg, I = 17
- 55.57 deg, I = 13
- 65.13 deg, I = 325
- 69.63 deg, I = 8
- 74.00 deg, I = 6
- 78.27 deg, I = 388

=====

# 9
Structure and simulated X-ray diffraction stick pattern of CaCoMo2 (a GGA-PBE-relaxed structure; a wavelength of 1.5418 Å).
Lines closer than 0.1° are merged.

Structural model:
a = 2.813 Å, b = 2.813 Å, c = 8.578 Å
α = 90.00°, β = 90.00°, γ = 90.17°
Sites, in units of the cell vectors:
Ca 0.000 0.000 0.000
Co 0.500 0.500 0.259
Mo 0.000 0.000 0.431
Mo 0.500 0.500 0.688

The 10 most intense peaks (2θ from 10° to 80°), low angle first:
- 10.31 deg, I = 591
- 31.28 deg, I = 110
- 38.26 deg, I = 1000
- 45.22 deg, I = 174
- 45.53 deg, I = 179
- 45.67 deg, I = 178
- 63.52 deg, I = 119
- 66.47 deg, I = 110
- 79.26 deg, I = 110
- 79.47 deg, I = 109

=====

# 10
Structure and simulated X-ray diffraction stick pattern of CdInTc2As (a GGA-PBE-relaxed structure; a wavelength of 1.5418 Å).
Lines closer than 0.1° are merged.

Structural model:
a = 5.089 Å, b = 5.089 Å, c = 5.096 Å
α = 90.00°, β = 90.00°, γ = 90.00°
Sites, in units of the cell vectors:
Cd 0.000 0.000 0.000
In 0.000 0.000 0.500
Tc 0.000 0.500 0.500
Tc 0.500 0.000 0.500
As 0.500 0.500 0.000

The 10 most intense peaks (2θ from 10° to 80°), low angle first:
- 17.42 deg, I = 471
- 24.73 deg, I = 155
- 30.41 deg, I = 586
- 35.26 deg, I = 1000
- 39.58 deg, I = 235
- 50.72 deg, I = 692
- 54.03 deg, I = 114
- 60.29 deg, I = 238
- 63.27 deg, I = 232
- 74.60 deg, I = 71

=====

# 11
Structure and simulated X-ray diffraction stick pattern of Ca3CeBi2As (a GGA-PBE-relaxed structure; a wavelength of 1.5418 Å).
Lines closer than 0.1° are merged.

Structural model:
a = 9.158 Å, b = 9.158 Å, c = 9.158 Å
α = 145.86°, β = 144.46°, γ = 50.11°
Sites, in units of the cell vectors:
Ca 0.000 0.000 0.000
Ca 0.177 0.677 0.500
Ca 0.823 0.323 0.500
Ce 0.500 0.500 0.000
Bi 0.368 0.868 0.500
Bi 0.632 0.132 0.500
As 0.000 0.500 0.500

The 10 most intense peaks (2θ from 10° to 80°), low angle first:
- 10.66 deg, I = 242
- 16.73 deg, I = 375
- 22.95 deg, I = 441
- 23.07 deg, I = 487
- 31.62 deg, I = 1000
- 32.02 deg, I = 358
- 33.33 deg, I = 322
- 39.84 deg, I = 249
- 45.67 deg, I = 194
- 46.89 deg, I = 247